Entry 1:
Structure and theoretical X-ray powder pattern of BeO (a DFT-relaxed cell (GGA-PBE, the Materials Project); a wavelength of 1.5418 Å).
Neutral-atom scattering factors, no anomalous dispersion.

Largest 2 diffraction maxima, in order of rising 2θ, 5° ≤ 2θ ≤ 70°:
2θ/deg  d_spacing  I_rel
42.93  2.107  484
49.99  1.825  1000

Cell and atoms:
```
BeO
1.0
0.000 1.825 1.825
1.825 0.000 1.825
1.825 1.825 0.000
Be O
1 1
Direct
0.000 0.000 0.000
0.500 0.500 0.500
```

Entry 2:
Structure and theoretical X-ray powder pattern of BeO (a DFT-relaxed cell (GGA-PBE, the Materials Project); a wavelength of 1.5418 Å).
Neutral-atom scattering factors, no anomalous dispersion.

Largest 5 diffraction maxima, in order of rising 2θ, 5° ≤ 2θ ≤ 70°:
2θ/deg  d_spacing  I_rel
38.36  2.347  829
41.01  2.201  543
43.71  2.071  1000
57.40  1.605  229
69.36  1.355  383

Cell and atoms:
```
BeO
1.0
2.710 0.000 0.000
-1.355 2.347 0.000
0.000 0.000 4.402
Be O
2 2
Direct
0.333 0.667 0.000
0.667 0.333 0.500
0.333 0.667 0.622
0.667 0.333 0.122
```